Entry 1:
This entry pairs a crystal structure of Nd2Ni2Sn3 with its simulated powder diffractogram. Radiation: copper Kα. Structure: a DFT-relaxed cell (PBE, Alexandria).
Intensities are scaled so that the largest is 100.

Main lines, by intensity (2θ = 5–70°):
2θ/deg	I/Imax
32.1	100.0
32.7	66.5
39.9	42.8
45.8	25.1
30.1	24.8
41.9	23.1
50.7	21.2
69.0	17.8
30.2	17.3
59.2	16.5

Cell and atoms:
Unit cell a=4.5240 b=19.5444 c=7.2017 alpha=90.00 beta=90.00 gamma=90.00
Space group Cmcm (No. 63)
Inequivalent atoms, fractional coordinates:
Nd 0.0000 0.0412 0.2500 [4 per cell]
Nd 0.0000 0.1646 0.7500 [4 per cell]
Ni 0.0000 0.2956 0.5546 [8 per cell]
Sn 0.0000 0.2163 0.2500 [4 per cell]
Sn 0.0000 0.4263 0.0476 [8 per cell]

Entry 2:
This entry pairs a crystal structure of Pu2MgCl6 with its simulated powder diffractogram. Radiation: copper Kα. Structure: a DFT-relaxed cell (PBE, Alexandria).
Intensities are scaled so that the largest is 100.

Main lines, by intensity (2θ = 5–70°):
2θ/deg	I/Imax
19.3	100.0
38.1	78.8
25.9	65.7
15.5	51.2
47.6	29.9
31.6	25.7
39.2	25.2
44.0	18.1
29.4	17.5
49.2	16.2

Cell and atoms:
Unit cell a=6.5031 b=6.5031 c=12.1494 alpha=90.00 beta=90.00 gamma=90.00
Space group P4_2/mnm (No. 136)
Inequivalent atoms, fractional coordinates:
Pu 0.0000 0.0000 0.1585 [4 per cell]
Mg 0.0000 0.0000 0.5000 [2 per cell]
Cl 0.1892 0.1892 0.3469 [8 per cell]
Cl 0.2242 0.2242 0.0000 [4 per cell]